Record 1
NaHo3: computed powder X-ray diffraction pattern (Cu Kα (weighted mean of Kα1 and Kα2)), based on a DFT-relaxed cell (PBE, Alexandria).
Kinematic intensities with the Lorentz-polarization factor, no thermal factor.

Structural model:
Lattice parameters (Å, degrees): 7.9218 7.9218 7.9218 90.00 90.00 90.00
Space group Fm-3m (No. 225)
Symmetry-distinct sites (fractional):
Na  0.0000  0.0000  0.0000
Ho  0.0000  0.0000  0.5000
Ho  0.2500  0.2500  0.2500

The 12 most intense peaks (10° ≤ 2θ ≤ 90°), in order of rising 2θ:
two_theta, I/Imax, (hkl)
19.41, 16, 1 1 1
22.45, 9, 2 0 0
31.95, 100, 2 2 0
37.66, 9, 3 1 1
45.82, 18, 4 0 0
50.20, 4, 3 3 1
51.60, 4, 4 2 0
56.95, 39, 4 2 2
60.75, 3, 5 1 1
66.80, 12, 4 4 0
75.97, 17, 6 2 0
84.79, 4, 4 4 4

***

Record 2
Sm2PuSbN5: computed powder X-ray diffraction pattern (Cu Kα (weighted mean of Kα1 and Kα2)), based on a DFT-relaxed cell (PBE, Alexandria).
Kinematic intensities with the Lorentz-polarization factor, no thermal factor.

Structural model:
Lattice parameters (Å, degrees): 3.4804 14.2437 10.5849 90.00 90.00 90.00
Space group Cmc2_1 (No. 36)
Symmetry-distinct sites (fractional):
Sm  0.0000  0.1139  0.0000
Sm  0.0000  0.1370  0.5904
Pu  0.0000  0.2160  0.3088
Sb  0.0000  0.4834  0.7715
N  0.0000  0.0516  0.3678
N  0.0000  0.2833  0.9494
N  0.0000  0.3105  0.6736
N  0.0000  0.3740  0.3125
N  0.0000  0.4939  0.0827

The 12 most intense peaks (10° ≤ 2θ ≤ 90°), in order of rising 2θ:
two_theta, I/Imax, (hkl)
28.23, 54, 0 2 3
30.25, 100, 0 4 2
31.40, 48, 1 1 2
31.88, 75, 1 3 0
33.01, 46, 1 3 1
33.87, 32, 0 0 4
36.82, 88, 1 1 3
38.88, 38, 0 6 1
47.20, 29, 1 3 4
54.27, 30, 1 3 5
55.08, 40, 1 7 2
61.88, 27, 2 4 2

***

Record 3
In3Pb5: computed powder X-ray diffraction pattern (Cu Kα (weighted mean of Kα1 and Kα2)), based on a DFT-relaxed cell (PBE, Alexandria).
Kinematic intensities with the Lorentz-polarization factor, no thermal factor.

Structural model:
Lattice parameters (Å, degrees): 9.5761 10.4636 4.7962 90.00 90.00 90.00
Space group Cmmm (No. 65)
Symmetry-distinct sites (fractional):
In  0.0000  0.0000  0.0000
In  0.0000  0.2508  0.5000
Pb  0.0000  0.5000  0.0000
Pb  0.2408  0.0000  0.5000
Pb  0.2500  0.2500  0.0000

The 12 most intense peaks (10° ≤ 2θ ≤ 90°), in order of rising 2θ:
two_theta, I/Imax, (hkl)
31.45, 100, 2 2 1
34.28, 20, 0 4 0
37.54, 31, 0 0 2
51.74, 25, 0 4 2
54.13, 11, 4 0 2
59.63, 16, 2 6 1
63.96, 26, 2 2 3
65.66, 12, 4 4 2
84.37, 6, 0 8 2
84.70, 7, 2 6 3
84.79, 6, 6 6 1
88.57, 6, 6 2 3

***

Record 4
Pm4Mg2In5: computed powder X-ray diffraction pattern (Cu Kα (weighted mean of Kα1 and Kα2)), based on a DFT-relaxed cell (PBE, Alexandria).
Kinematic intensities with the Lorentz-polarization factor, no thermal factor.

Structural model:
Lattice parameters (Å, degrees): 8.1545 3.4733 10.6642 90.00 94.12 90.00
Space group P2/m (No. 10)
Symmetry-distinct sites (fractional):
Pm  0.1664  0.0000  0.3956
Pm  0.2919  0.0000  0.9385
Mg  0.0562  0.5000  0.1333
In  0.1916  0.5000  0.6705
In  0.4207  0.5000  0.2070
In  0.5000  0.5000  0.5000

The 12 most intense peaks (10° ≤ 2θ ≤ 90°), in order of rising 2θ:
two_theta, I/Imax, (hkl)
30.75, 27, 0 1 2
32.28, 50, 1 1 -2
33.11, 48, 1 1 2
33.52, 50, 3 0 -1
33.94, 22, 2 1 0
34.74, 100, 1 0 -4
35.40, 32, 2 1 1
37.31, 22, 2 1 -2
52.34, 16, 1 1 5
52.71, 17, 0 2 0
53.46, 21, 4 1 1
64.68, 34, 1 2 -4

***

Record 5
MgCd4Au7: computed powder X-ray diffraction pattern (Cu Kα (weighted mean of Kα1 and Kα2)), based on a DFT-relaxed cell (PBE, Alexandria).
Kinematic intensities with the Lorentz-polarization factor, no thermal factor.

Structural model:
Lattice parameters (Å, degrees): 4.3342 4.9984 11.8442 78.02 88.84 64.95
Space group P-1 (No. 2)
Symmetry-distinct sites (fractional):
Mg  0.0000  0.0000  0.0000
Cd  0.3232  0.3573  0.8325
Cd  0.3361  0.3264  0.5835
Au  0.0000  0.0000  0.5000
Au  0.0067  0.9850  0.2435
Au  0.3324  0.3281  0.3320
Au  0.3426  0.3153  0.0772

The 12 most intense peaks (10° ≤ 2θ ≤ 90°), in order of rising 2θ:
two_theta, I/Imax, (hkl)
36.61, 100, 1 -1 0
37.22, 96, 1 2 0
40.92, 37, 0 1 -4
41.69, 36, 2 1 0
45.92, 25, 0 2 4
58.99, 13, 2 0 4
60.69, 12, 2 2 -4
63.17, 19, 0 3 0
71.31, 14, 1 -2 4
72.40, 20, 3 0 0
73.54, 13, 3 1 -4
77.82, 11, 2 -2 0

***

Record 6
Ac2TbP3Rh4: computed powder X-ray diffraction pattern (Cu Kα (weighted mean of Kα1 and Kα2)), based on a DFT-relaxed cell (PBE, Alexandria).
Kinematic intensities with the Lorentz-polarization factor, no thermal factor.

Structural model:
Lattice parameters (Å, degrees): 4.1413 4.1413 11.3912 90.00 90.00 90.00
Space group P-4m2 (No. 115)
Symmetry-distinct sites (fractional):
Ac  0.0000  0.5000  0.2301
Tb  0.0000  0.0000  0.5000
P  0.0000  0.5000  0.8814
P  0.5000  0.5000  0.5000
Rh  0.0000  0.0000  0.0000
Rh  0.0000  0.5000  0.6691
Rh  0.5000  0.5000  0.0000

The 12 most intense peaks (10° ≤ 2θ ≤ 90°), in order of rising 2θ:
two_theta, I/Imax, (hkl)
22.85, 18, 1 0 1
26.61, 15, 1 0 2
31.41, 15, 0 0 4
31.98, 30, 1 0 3
34.44, 100, 1 1 2
38.36, 16, 1 0 4
43.72, 37, 2 0 0
45.44, 18, 1 0 5
54.82, 12, 2 0 4
55.18, 13, 2 1 3
64.88, 12, 2 1 5
74.32, 22, 3 1 2

***

Record 7
AcNd12Tm2: computed powder X-ray diffraction pattern (Cu Kα (weighted mean of Kα1 and Kα2)), based on a DFT-relaxed cell (PBE, Alexandria).
Kinematic intensities with the Lorentz-polarization factor, no thermal factor.

Structural model:
Lattice parameters (Å, degrees): 7.2050 11.6933 25.3608 90.00 90.00 90.00
Space group Cmme (No. 67)
Symmetry-distinct sites (fractional):
Ac  0.0000  0.2500  0.0155
Nd  0.0000  0.0245  0.4407
Nd  0.0000  0.0255  0.9207
Nd  0.2309  0.2500  0.5844
Nd  0.2390  0.2500  0.1424
Nd  0.2500  0.0000  0.2029
Nd  0.2500  0.0000  0.3269
Tm  0.0000  0.2500  0.2751
Tm  0.0000  0.2500  0.7290

The 12 most intense peaks (10° ≤ 2θ ≤ 90°), in order of rising 2θ:
two_theta, I/Imax, (hkl)
28.50, 31, 2 0 4
28.99, 86, 0 2 7
29.97, 78, 2 2 2
30.58, 100, 0 4 0
31.02, 47, 2 2 3
32.12, 55, 0 2 8
32.43, 71, 2 2 4
36.19, 39, 2 2 6
46.78, 31, 2 0 11
50.68, 26, 4 0 0
56.92, 33, 2 4 11
60.36, 28, 4 4 0

***

Record 8
Zr2Al3P4: computed powder X-ray diffraction pattern (Cu Kα (weighted mean of Kα1 and Kα2)), based on a DFT-relaxed cell (PBE, Alexandria).
Kinematic intensities with the Lorentz-polarization factor, no thermal factor.

Structural model:
Lattice parameters (Å, degrees): 3.7034 3.7034 29.0679 90.00 90.00 120.00
Space group P6_3mc (No. 186)
Symmetry-distinct sites (fractional):
Zr  0.3333  0.6667  0.0000
Zr  0.3333  0.6667  0.4015
Al  0.0000  0.0000  0.1069
Al  0.0000  0.0000  0.2995
Al  0.3333  0.6667  0.6837
P  0.0000  0.0000  0.2185
P  0.0000  0.0000  0.4504
P  0.3333  0.6667  0.5604
P  0.3333  0.6667  0.8378

The 12 most intense peaks (10° ≤ 2θ ≤ 90°), in order of rising 2θ:
two_theta, I/Imax, (hkl)
28.50, 33, 1 0 2
29.33, 44, 1 0 3
30.76, 21, 0 0 10
31.87, 82, 1 0 5
33.51, 34, 1 0 6
35.36, 100, 1 0 7
37.40, 22, 1 0 8
47.01, 28, 1 0 12
49.21, 68, 1 1 0
49.68, 32, 1 0 13
59.16, 19, 1 1 10
62.04, 18, 2 0 7

***

Record 9
Ba2MgAgH6: computed powder X-ray diffraction pattern (Cu Kα (weighted mean of Kα1 and Kα2)), based on a DFT-relaxed cell (PBE, Alexandria).
Kinematic intensities with the Lorentz-polarization factor, no thermal factor.

Structural model:
Lattice parameters (Å, degrees): 5.8645 5.8772 8.2872 90.00 90.00 90.00
Space group Immm (No. 71)
Symmetry-distinct sites (fractional):
Ba  0.0000  0.0000  0.2504
Mg  0.0000  0.5000  0.0000
Ag  0.0000  0.5000  0.5000
H  0.0000  0.5000  0.2449
H  0.2450  0.2558  0.0000

The 12 most intense peaks (10° ≤ 2θ ≤ 90°), in order of rising 2θ:
two_theta, I/Imax, (hkl)
18.52, 10, 1 0 1
21.42, 11, 1 1 0
30.47, 100, 2 0 0
35.90, 6, 0 1 3
43.63, 19, 2 2 0
54.14, 32, 3 1 2
54.21, 6, 2 0 4
63.44, 10, 4 0 0
71.92, 8, 3 3 2
72.04, 8, 4 2 0
87.99, 7, 2 4 4
88.15, 13, 5 1 2